Diffraction record for Na8B13C3. The powder diffractogram is simulated, not measured: it uses a crystal structure in Alexandria, relaxed with GGA-PBE and Cu Kα (weighted mean of Kα1 and Kα2).

Largest 10 diffraction maxima, low angle first, 10° ≤ 2θ ≤ 90°:
35.1 deg, rel. 216, hkl 1 0 2; 41.0 deg, rel. 1000, hkl 1 2 2; 41.2 deg, rel. 543, hkl 2 2 0; 41.8 deg, rel. 379, hkl 0 4 0; 55.6 deg, rel. 117, hkl 1 4 2; 62.7 deg, rel. 92, hkl 0 0 4; 63.2 deg, rel. 88, hkl 3 0 -2; 63.3 deg, rel. 88, hkl 3 0 2; 75.7 deg, rel. 125, hkl 1 6 2; 78.2 deg, rel. 89, hkl 0 4 4

Atomic structure:
Cell lengths 5.0798, 8.6515, 5.9278 Å; angles 90.00, 90.10, 90.00 degrees
Space group Pm (No. 6)
Unique sites:
Na 0.0000 0.2493 0.0000 [2 per cell]
Na 0.4987 0.2499 0.2497 [2 per cell]
Na 0.5002 0.2515 0.7496 [2 per cell]
Na 0.9994 0.2504 0.5008 [2 per cell]
B 0.1633 0.0000 0.2406 [1 per cell]
B 0.1765 0.5000 0.7500 [1 per cell]
B 0.1955 0.0000 0.7658 [1 per cell]
B 0.3166 0.0000 0.5027 [1 per cell]
B 0.3201 0.5000 0.0134 [1 per cell]
B 0.3201 0.5000 0.4863 [1 per cell]
B 0.6613 0.5000 0.0016 [1 per cell]
B 0.6621 0.5000 0.4982 [1 per cell]
B 0.6636 0.0000 0.0097 [1 per cell]
B 0.6962 0.0000 0.4843 [1 per cell]
B 0.8159 0.0000 0.7480 [1 per cell]
B 0.8350 0.5000 0.7499 [1 per cell]
B 0.8542 0.5000 0.2499 [1 per cell]
C 0.1664 0.5000 0.2500 [1 per cell]
C 0.3236 0.0000 0.0072 [1 per cell]
C 0.8245 0.0000 0.2432 [1 per cell]


Diffraction record for Na2SrSiS4. The powder diffractogram is simulated, not measured: it uses a crystal structure in Alexandria, relaxed with GGA-PBE and Cu Kα (weighted mean of Kα1 and Kα2).

Largest 10 diffraction maxima, low angle first, 10° ≤ 2θ ≤ 90°:
13.4 deg, rel. 242, hkl 0 1 1; 14.0 deg, rel. 300, hkl 1 0 1; 26.2 deg, rel. 182, hkl 1 2 1; 31.0 deg, rel. 402, hkl 0 0 4; 32.4 deg, rel. 1000, hkl 2 2 0; 44.9 deg, rel. 162, hkl 0 4 0; 45.4 deg, rel. 486, hkl 2 2 4; 48.0 deg, rel. 159, hkl 4 0 0; 55.6 deg, rel. 108, hkl 0 4 4; 58.2 deg, rel. 118, hkl 4 0 4

Atomic structure:
Cell lengths 7.5806, 8.0671, 11.5549 Å; angles 90.00, 90.00, 90.00 degrees
Space group Imma (No. 74)
Unique sites:
Na 0.0000 0.0000 0.0000 [4 per cell]
Na 0.2500 0.2500 0.2500 [4 per cell]
Sr 0.0000 0.0000 0.5000 [4 per cell]
Si 0.2500 0.2500 0.7500 [4 per cell]
S 0.0000 0.0388 0.7522 [8 per cell]
S 0.2400 0.2500 0.9448 [8 per cell]


Diffraction record for Rb3Np2O7. The powder diffractogram is simulated, not measured: it uses a crystal structure in Alexandria, relaxed with GGA-PBE and Cu Kα (weighted mean of Kα1 and Kα2).

Largest 10 diffraction maxima, low angle first, 10° ≤ 2θ ≤ 90°:
15.5 deg, rel. 169, hkl 0 0 4; 20.8 deg, rel. 333, hkl 1 0 1; 28.4 deg, rel. 1000, hkl 1 0 5; 29.1 deg, rel. 531, hkl 1 1 0; 39.4 deg, rel. 133, hkl 0 0 10; 41.7 deg, rel. 284, hkl 2 0 0; 49.7 deg, rel. 196, hkl 1 1 10; 51.2 deg, rel. 406, hkl 2 1 5; 58.7 deg, rel. 162, hkl 2 0 10; 83.0 deg, rel. 106, hkl 3 2 5

Atomic structure:
Cell lengths 4.3363, 4.3363, 22.8823 Å; angles 90.00, 90.00, 90.00 degrees
Space group I4/mmm (No. 139)
Unique sites:
Rb 0.0000 0.0000 0.0000 [2 per cell]
Rb 0.0000 0.0000 0.1905 [4 per cell]
Np 0.0000 0.0000 0.4059 [4 per cell]
O 0.0000 0.0000 0.3203 [4 per cell]
O 0.0000 0.0000 0.5000 [2 per cell]
O 0.0000 0.5000 0.0937 [8 per cell]


Diffraction record for Tb2Dy3Tm3. The powder diffractogram is simulated, not measured: it uses a crystal structure in Alexandria, relaxed with GGA-PBE and Cu Kα (weighted mean of Kα1 and Kα2).

Largest 8 diffraction maxima, low angle first, 10° ≤ 2θ ≤ 90°:
31.1 deg, rel. 1000, hkl 1 1 4; 36.1 deg, rel. 506, hkl 2 0 0; 52.0 deg, rel. 359, hkl 2 2 0; 61.8 deg, rel. 427, hkl 3 1 4; 64.9 deg, rel. 123, hkl 2 2 8; 76.6 deg, rel. 57, hkl 4 0 0; 84.9 deg, rel. 179, hkl 3 3 4; 87.7 deg, rel. 168, hkl 4 2 0

Atomic structure:
Cell lengths 4.9744, 4.9775, 19.9151 Å; angles 90.00, 90.00, 90.00 degrees
Space group Immm (No. 71)
Unique sites:
Tb 0.0000 0.0000 0.2498 [4 per cell]
Dy 0.0000 0.0000 0.0000 [2 per cell]
Dy 0.0000 0.5000 0.1241 [4 per cell]
Tm 0.0000 0.0000 0.5000 [2 per cell]
Tm 0.0000 0.5000 0.3755 [4 per cell]


Diffraction record for LiYP2Pt5. The powder diffractogram is simulated, not measured: it uses a crystal structure in Alexandria, relaxed with GGA-PBE and Cu Kα (weighted mean of Kα1 and Kα2).

Largest 10 diffraction maxima, low angle first, 10° ≤ 2θ ≤ 90°:
15.6 deg, rel. 325, hkl 0 0 2; 23.5 deg, rel. 555, hkl 0 0 3; 23.7 deg, rel. 378, hkl 1 0 1; 32.8 deg, rel. 285, hkl 1 1 1; 35.7 deg, rel. 1000, hkl 1 1 2; 40.0 deg, rel. 412, hkl 1 1 3; 45.7 deg, rel. 465, hkl 2 0 0; 51.8 deg, rel. 438, hkl 1 1 5; 52.0 deg, rel. 365, hkl 2 0 3; 77.8 deg, rel. 214, hkl 3 1 2

Atomic structure:
Cell lengths 3.9745, 3.9745, 11.3360 Å; angles 90.00, 90.00, 90.00 degrees
Space group P4/mmm (No. 123)
Unique sites:
Li 0.0000 0.0000 0.0000 [1 per cell]
Y 0.0000 0.0000 0.5000 [1 per cell]
P 0.5000 0.5000 0.1981 [2 per cell]
Pt 0.0000 0.5000 0.3066 [4 per cell]
Pt 0.5000 0.5000 0.0000 [1 per cell]


Diffraction record for YbFe4Pb6. The powder diffractogram is simulated, not measured: it uses a crystal structure in Alexandria, relaxed with GGA-PBE and Cu Kα (weighted mean of Kα1 and Kα2).

Largest 10 diffraction maxima, low angle first, 10° ≤ 2θ ≤ 90°:
29.4 deg, rel. 409, hkl 1 1 1; 29.5 deg, rel. 155, hkl 1 1 -2; 30.8 deg, rel. 1000, hkl 2 2 0; 35.6 deg, rel. 150, hkl 0 4 0; 35.8 deg, rel. 376, hkl 4 0 -2; 39.0 deg, rel. 385, hkl 3 3 -1; 40.1 deg, rel. 193, hkl 0 2 2; 51.4 deg, rel. 180, hkl 4 4 -2; 53.9 deg, rel. 207, hkl 1 5 1; 60.3 deg, rel. 120, hkl 3 5 0

Atomic structure:
Cell lengths 10.0268, 10.0805, 7.0837 Å; angles 90.00, 134.85, 90.00 degrees
Space group Cm (No. 8)
Unique sites:
Yb 0.0000 0.0000 0.0000 [2 per cell]
Fe 0.2035 0.5000 0.2910 [2 per cell]
Fe 0.4114 0.0000 0.7068 [2 per cell]
Fe 0.4419 0.1465 0.9993 [4 per cell]
Pb 0.0867 0.0000 0.6225 [2 per cell]
Pb 0.2247 0.3115 0.9995 [4 per cell]
Pb 0.2500 0.2499 0.4990 [4 per cell]
Pb 0.4634 0.0000 0.3754 [2 per cell]


Diffraction record for Ca5Ta4O15. The powder diffractogram is simulated, not measured: it uses a crystal structure in Alexandria, relaxed with GGA-PBE and Cu Kα (weighted mean of Kα1 and Kα2).

Largest 10 diffraction maxima, low angle first, 10° ≤ 2θ ≤ 90°:
20.0 deg, rel. 471, hkl 1 0 2; 24.0 deg, rel. 761, hkl 1 0 4; 29.4 deg, rel. 1000, hkl 0 1 6; 32.4 deg, rel. 755, hkl 1 1 0; 44.3 deg, rel. 484, hkl 2 0 6; 50.3 deg, rel. 195, hkl 1 0 12; 51.0 deg, rel. 411, hkl 1 1 10; 52.9 deg, rel. 164, hkl 2 1 4; 55.9 deg, rel. 347, hkl 1 2 6; 57.8 deg, rel. 193, hkl 3 0 0

Atomic structure:
Cell lengths 5.5302, 5.5302, 23.5250 Å; angles 90.00, 90.00, 120.00 degrees
Space group P-3c1 (No. 165)
Unique sites:
Ca 0.0000 0.0000 0.0000 [2 per cell]
Ca 0.3333 0.6667 0.2317 [4 per cell]
Ca 0.3333 0.6667 0.3822 [4 per cell]
Ta 0.0000 0.0000 0.1565 [4 per cell]
Ta 0.3333 0.6667 0.0523 [4 per cell]
O 0.0000 0.5000 0.0000 [6 per cell]
O 0.0709 0.3370 0.3072 [12 per cell]
O 0.0966 0.3227 0.5955 [12 per cell]


Diffraction record for TlTc4. The powder diffractogram is simulated, not measured: it uses a crystal structure in Alexandria, relaxed with GGA-PBE and Cu Kα (weighted mean of Kα1 and Kα2).

Largest 10 diffraction maxima, low angle first, 10° ≤ 2θ ≤ 90°:
29.6 deg, rel. 155, hkl 2 0 0; 38.7 deg, rel. 1000, hkl 2 1 1; 39.1 deg, rel. 244, hkl 0 0 2; 47.7 deg, rel. 136, hkl 3 1 0; 61.6 deg, rel. 79, hkl 4 0 0; 63.3 deg, rel. 117, hkl 3 1 2; 65.7 deg, rel. 76, hkl 3 3 0; 70.5 deg, rel. 169, hkl 2 1 3; 75.4 deg, rel. 86, hkl 4 0 2; 79.2 deg, rel. 90, hkl 3 3 2

Atomic structure:
Cell lengths 6.0263, 6.0263, 4.6130 Å; angles 90.00, 90.00, 90.00 degrees
Space group I4/mmm (No. 139)
Unique sites:
Tl 0.0000 0.0000 0.0000 [2 per cell]
Tc 0.0000 0.2980 0.5000 [8 per cell]


Diffraction record for Ho3Zn2Cu9. The powder diffractogram is simulated, not measured: it uses a crystal structure in Alexandria, relaxed with GGA-PBE and Cu Kα (weighted mean of Kα1 and Kα2).

Largest 10 diffraction maxima, low angle first, 10° ≤ 2θ ≤ 90°:
30.6 deg, rel. 267, hkl 1 0 3; 35.6 deg, rel. 251, hkl 0 2 4; 36.9 deg, rel. 1000, hkl 1 2 3; 37.6 deg, rel. 445, hkl 1 3 0; 37.7 deg, rel. 541, hkl 0 3 3; 40.4 deg, rel. 252, hkl 1 3 2; 42.6 deg, rel. 205, hkl 1 0 5; 43.5 deg, rel. 450, hkl 2 0 0; 44.1 deg, rel. 160, hkl 0 0 6; 58.9 deg, rel. 162, hkl 2 3 3

Atomic structure:
Cell lengths 4.1627, 8.7844, 12.3176 Å; angles 90.00, 90.00, 90.00 degrees
Space group Immm (No. 71)
Unique sites:
Ho 0.0000 0.0000 0.0000 [2 per cell]
Ho 0.0000 0.0000 0.2991 [4 per cell]
Zn 0.0000 0.2019 0.5000 [4 per cell]
Cu 0.0000 0.2833 0.1274 [8 per cell]
Cu 0.0000 0.3587 0.3297 [8 per cell]
Cu 0.0000 0.5000 0.0000 [2 per cell]


Diffraction record for Sm7Er2Tl2. The powder diffractogram is simulated, not measured: it uses a crystal structure in Alexandria, relaxed with GGA-PBE and Cu Kα (weighted mean of Kα1 and Kα2).

Largest 10 diffraction maxima, low angle first, 10° ≤ 2θ ≤ 90°:
30.4 deg, rel. 556, hkl 0 3 3; 30.8 deg, rel. 340, hkl 1 1 2; 31.5 deg, rel. 1000, hkl 1 4 1; 32.2 deg, rel. 171, hkl 0 6 2; 33.3 deg, rel. 328, hkl 1 3 2; 35.3 deg, rel. 154, hkl 0 5 3; 35.4 deg, rel. 263, hkl 0 8 0; 49.8 deg, rel. 171, hkl 2 0 0; 56.3 deg, rel. 184, hkl 0 0 6; 59.4 deg, rel. 169, hkl 2 3 3

Atomic structure:
Cell lengths 3.6638, 20.2802, 9.8019 Å; angles 90.00, 90.00, 90.00 degrees
Space group Imm2 (No. 44)
Unique sites:
Sm 0.0000 0.0000 0.0000 [2 per cell]
Sm 0.0000 0.1292 0.4610 [4 per cell]
Sm 0.0000 0.3394 0.6565 [4 per cell]
Sm 0.0000 0.3671 0.2849 [4 per cell]
Er 0.0000 0.0000 0.6507 [2 per cell]
Er 0.0000 0.5000 0.8235 [2 per cell]
Tl 0.0000 0.2442 0.9424 [4 per cell]


Diffraction record for Ti5Al2W. The powder diffractogram is simulated, not measured: it uses a crystal structure in Alexandria, relaxed with GGA-PBE and Cu Kα (weighted mean of Kα1 and Kα2).

Largest 10 diffraction maxima, low angle first, 10° ≤ 2θ ≤ 90°:
14.3 deg, rel. 480, hkl 0 0 2; 20.5 deg, rel. 438, hkl 1 0 1; 29.1 deg, rel. 188, hkl 1 0 3; 31.0 deg, rel. 249, hkl 1 1 2; 39.0 deg, rel. 548, hkl 2 0 0; 40.2 deg, rel. 1000, hkl 1 1 4; 41.8 deg, rel. 139, hkl 2 0 2; 56.4 deg, rel. 178, hkl 2 2 0; 71.5 deg, rel. 338, hkl 3 1 4; 73.8 deg, rel. 151, hkl 2 0 8

Atomic structure:
Cell lengths 4.6179, 4.6179, 12.3528 Å; angles 90.00, 90.00, 90.00 degrees
Space group I4/mmm (No. 139)
Unique sites:
Ti 0.0000 0.0000 0.0000 [2 per cell]
Ti 0.0000 0.5000 0.1209 [8 per cell]
Al 0.0000 0.0000 0.2509 [4 per cell]
W 0.0000 0.0000 0.5000 [2 per cell]